No. 1
Starting from a DFT-relaxed cell (GGA-PBE, the Materials Project), the XRD peak list of ScCo5P3 was computed for λ = 1.5418 Å (Cu Kα).
Peak positions follow from Bragg's law for the DFT cell and can differ from measured ones.

Largest 10 diffraction maxima, most intense first, 10 to 90 degrees two-theta:
(hkl)	2θ/deg	d (Å)	I (rel.)
2 1 3	39.8	2.266	100
4 1 0	40.0	2.255	52
0 2 0	51.0	1.790	37
5 1 2	50.1	1.820	26
6 0 3	54.6	1.681	20
4 1 1	41.0	2.203	18
1 0 2	19.1	4.657	14
6 2 3	78.0	1.225	13
1 1 5	52.3	1.748	11
3 0 5	50.7	1.800	11

Structure:
```
data_ScCo5P3
_cell_length_a 11.6173
_cell_length_b 3.5791
_cell_length_c 10.1664
_cell_angle_alpha 90.00
_cell_angle_beta 90.00
_cell_angle_gamma 90.00
_space_group_name_H-M_alt 'P n m a'
_space_group_IT_number 62
_space_group_name_Hall '-P 2ac 2n'
loop_
_atom_site_label
_atom_site_fract_x
_atom_site_fract_y
_atom_site_fract_z
Sc1 0.2032 0.2500 0.0822
Co1 0.0091 0.7500 0.7177
Co2 0.0144 0.7500 0.0917
Co3 0.0688 0.7500 0.4668
Co4 0.1766 0.2500 0.7790
Co5 0.1992 0.2500 0.3833
P1 0.1106 0.7500 0.9015
P2 0.1142 0.2500 0.5817
P3 0.1309 0.7500 0.2665
```

No. 2
Starting from a DFT-relaxed cell (GGA-PBE, the Materials Project), the XRD peak list of U2O5 was computed for λ = 1.5418 Å (Cu Kα).
Peak positions follow from Bragg's law for the DFT cell and can differ from measured ones.

Largest 10 diffraction maxima, most intense first, 10 to 90 degrees two-theta:
(hkl)	2θ/deg	d (Å)	I (rel.)
1 1 2	28.7	3.113	100
1 1 -4	31.7	2.819	89
0 0 6	27.7	3.216	88
3 1 -1	47.3	1.920	53
2 0 -3	29.1	3.064	47
3 1 -7	56.0	1.642	39
1 1 8	47.6	1.910	32
0 2 0	46.7	1.944	28
0 2 6	55.2	1.664	27
1 1 1	27.3	3.270	23

Structure:
```
data_U2O5
_cell_length_a 6.6247
_cell_length_b 3.8875
_cell_length_c 19.3942
_cell_angle_alpha 90.00
_cell_angle_beta 95.95
_cell_angle_gamma 90.00
_space_group_name_H-M_alt 'C 1 2/m 1'
_space_group_IT_number 12
_space_group_name_Hall '-C 2y'
loop_
_atom_site_label
_atom_site_fract_x
_atom_site_fract_y
_atom_site_fract_z
U1 0.0710 0.0000 0.2385
U2 0.1484 0.5000 0.9281
U3 0.1908 0.0000 0.5803
O1 0.0000 0.0000 0.0000
O2 0.0288 0.5000 0.5937
O3 0.0332 0.0000 0.1304
O4 0.1084 0.5000 0.8008
O5 0.1099 0.0000 0.3389
O6 0.1563 0.0000 0.4691
O7 0.1809 0.5000 0.0541
O8 0.2492 0.5000 0.2669
```